Diffraction record for Li4Fe2Cu3Te3O16. The powder diffraction line list is simulated, not measured: it uses a cell relaxed with GGA+U and Cu Kα (weighted mean of Kα1 and Kα2).
Lines closer than 0.1° are merged.

Principal peaks in the range 2θ from 10° to 80°, low angle first:
18.2 deg, I 36; 18.3 deg, I 100; 18.9 deg, I 31; 33.5 deg, I 36; 34.4 deg, I 26; 35.1 deg, I 33

```
Li4Fe2Cu3Te3O16
1.0
6.113 0.000 0.000
-3.027 5.503 0.000
-0.104 -0.479 9.688
Li Fe Cu Te O
4 2 3 3 16
Cartesian
0.000 0.000 0.000
-0.005 -0.004 5.135
0.021 3.473 6.084
3.175 1.831 1.027
0.112 3.382 0.032
2.961 1.357 5.196
0.117 1.691 2.893
1.527 0.476 7.757
4.549 0.480 7.733
-1.478 4.363 2.820
1.543 4.450 2.845
3.060 3.153 7.673
-1.224 2.704 1.677
-1.644 3.816 8.899
-0.004 1.239 8.850
1.453 0.837 4.097
0.173 3.661 4.012
1.470 2.835 1.726
0.206 5.194 1.586
3.021 -0.073 6.512
1.734 2.494 6.417
1.625 3.809 8.867
3.058 1.422 8.668
4.595 0.587 3.948
2.958 3.652 3.959
2.955 5.266 1.790
4.340 2.496 6.340
3.063 4.996 6.925
```



Diffraction record for Co21Cu3O32. The powder diffraction line list is simulated, not measured: it uses a cell relaxed with GGA+U and Cu Kα (weighted mean of Kα1 and Kα2).
Lines closer than 0.1° are merged.

Principal peaks in the range 2θ from 10° to 80°, low angle first:
18.9 deg, I 11; 31.1 deg, I 32; 36.6 deg, I 100; 44.5 deg, I 18; 58.9 deg, I 37; 64.7 deg, I 42

```
Co21Cu3O32
1.0
2.881 1.663 18.795
-2.881 1.663 18.795
0.000 -3.326 18.795
Co Cu O
21 3 32
Cartesian
0.000 0.000 0.000
-1.441 -0.832 20.565
0.000 -1.663 11.172
-1.440 0.831 11.172
0.000 0.000 3.532
0.000 0.000 8.818
0.000 0.000 14.121
0.000 -1.662 25.263
-1.440 0.831 25.263
-1.440 -0.831 34.658
0.000 0.000 22.912
1.441 -0.832 20.566
1.440 0.831 11.172
0.000 1.664 20.566
0.000 0.000 31.707
0.000 0.000 37.008
0.000 0.000 42.308
1.440 0.831 25.263
1.440 -0.831 34.658
0.000 1.662 34.658
0.000 0.000 51.108
0.000 0.000 17.631
0.000 0.000 28.197
0.000 0.000 45.835
0.000 -1.842 14.752
-1.595 0.921 14.752
0.000 0.000 5.478
-1.285 -0.742 24.146
-1.595 -0.921 31.081
0.000 0.000 12.167
0.000 -1.486 21.679
-1.287 0.743 21.679
0.000 -1.852 28.860
-1.604 0.926 28.860
0.000 0.000 19.596
-1.287 -0.743 38.249
-1.602 -0.925 45.163
0.000 0.000 26.234
0.000 -1.475 35.764
-1.278 0.738 35.764
1.285 -0.742 24.146
0.000 1.484 24.146
0.000 0.000 33.663
1.595 0.921 14.752
1.287 0.743 21.679
0.000 0.000 40.351
1.595 -0.921 31.081
0.000 1.842 31.081
1.287 -0.743 38.249
0.000 1.486 38.249
0.000 0.000 47.793
1.604 0.926 28.860
1.278 0.738 35.764
0.000 0.000 54.437
1.602 -0.925 45.163
0.000 1.850 45.163
```